This entry pairs a crystal structure of Re5Br with its computed X-ray powder pattern. Radiation: λ = 1.5418 Å (Cu Kα). Structure: a structure optimized by DFT (PBE).
Neutral-atom scattering factors, no anomalous dispersion.

Crystal structure
```
Re5Br
1.0
4.854 0.000 0.000
-2.427 4.204 0.000
0.000 0.000 4.568
Re Br
5 1
direct
0.000 0.649 0.000
0.333 0.667 0.500
0.351 0.351 0.000
0.649 0.000 0.000
0.667 0.333 0.500
0.000 0.000 0.500
```

Principal peaks in the range 10 to 80 degrees two-theta, by angle:
d = 2.427 Å, 2θ = 37.0°, intensity 24, hkl 1 1 0
d = 2.284 Å, 2θ = 39.5°, intensity 27, hkl 0 0 2
d = 2.143 Å, 2θ = 42.2°, intensity 100, hkl 1 1 1
d = 1.663 Å, 2θ = 55.2°, intensity 16, hkl 1 1 2
d = 1.401 Å, 2θ = 66.8°, intensity 17, hkl 3 0 0
d = 1.290 Å, 2θ = 73.4°, intensity 20, hkl 1 1 3